[1]
Calculated powder XRD pattern
Compound: BaZr2F10
Radiation: Cu Kα, 1.54184 Å
Structure: DFT lattice parameters and positions (GGA-PBE)
Lines closer than 0.1° are merged.

Atomic structure:
```
data_BaZr2F10
_cell_length_a 6.161
_cell_length_b 16.036
_cell_length_c 8.941
_cell_angle_alpha 90.00
_cell_angle_beta 106.45
_cell_angle_gamma 90.00
_symmetry_space_group_name_H-M 'C 1 2/c 1'
_symmetry_Int_Tables_number 15
loop_
_symmetry_equiv_pos_as_xyz
'x,y,z'
'-x,-y,-z'
'-x,y,-z+1/2'
'x,-y,z+1/2'
'x+1/2,y+1/2,z'
'-x+1/2,-y+1/2,-z'
'-x+1/2,y+1/2,-z+1/2'
'x+1/2,-y+1/2,z+1/2'
loop_
_atom_site_label
_atom_site_type_symbol
_atom_site_fract_x
_atom_site_fract_y
_atom_site_fract_z
Ba1 Ba 0.000 0.070 0.250
Zr1 Zr 0.188 0.345 0.095
F1 F 0.000 0.198 0.750
F2 F 0.000 0.303 0.250
F3 F 0.112 0.362 0.563
F4 F 0.149 0.209 0.072
F5 F 0.187 0.059 0.006
F6 F 0.237 0.436 0.255
```

Largest 12 diffraction maxima, in order of falling intensity, 10° ≤ 2θ ≤ 90°:
2θ/deg	I (rel.)	h k l
21.27	100	1 1 1
22.59	74	1 1 -2
24.51	42	0 4 1
41.72	38	2 0 2
31.16	28	2 2 -1
27.59	27	1 3 -2
26.51	26	1 3 1
42.32	23	1 7 0
22.17	23	0 4 0
22.43	22	1 3 0
43.61	21	2 4 -3
49.55	21	1 7 2

***

[2]
Calculated powder XRD pattern
Compound: Ba2ZrF8
Radiation: Cu Kα, 1.54184 Å
Structure: DFT lattice parameters and positions (GGA-PBE)
Lines closer than 0.1° are merged.

Atomic structure:
```
data_Ba2ZrF8
_cell_length_a 9.988
_cell_length_b 5.713
_cell_length_c 12.037
_cell_angle_alpha 90.00
_cell_angle_beta 90.00
_cell_angle_gamma 90.00
_symmetry_space_group_name_H-M 'P n m a'
_symmetry_Int_Tables_number 62
loop_
_symmetry_equiv_pos_as_xyz
'x,y,z'
'-x,-y,-z'
'-x+1/2,-y,z+1/2'
'x+1/2,y,-z+1/2'
'x+1/2,-y+1/2,-z+1/2'
'-x+1/2,y+1/2,z+1/2'
'-x,y+1/2,-z'
'x,-y+1/2,z'
loop_
_atom_site_label
_atom_site_type_symbol
_atom_site_fract_x
_atom_site_fract_y
_atom_site_fract_z
Ba1 Ba 0.048 0.250 0.159
Ba2 Ba 0.137 0.250 0.559
Zr1 Zr 0.241 0.750 0.360
F1 F 0.094 0.013 0.361
F2 F 0.141 0.750 0.192
F3 F 0.143 0.750 0.524
F4 F 0.146 0.017 0.965
F5 F 0.155 0.014 0.756
```

Largest 12 diffraction maxima, in order of falling intensity, 10° ≤ 2θ ≤ 90°:
2θ/deg	I (rel.)	h k l
24.81	100	2 1 1
23.24	100	1 1 2
44.42	52	3 2 2
23.66	48	2 1 0
28.60	48	1 1 3
39.77	45	1 2 3
41.65	42	2 0 5
30.69	35	3 0 2
31.31	34	0 2 0
23.90	31	1 0 3
42.36	30	3 2 1
44.69	28	2 1 5

***

[3]
Calculated powder XRD pattern
Compound: BaFe4
Radiation: Cu Kα, 1.54184 Å
Structure: DFT lattice parameters and positions (GGA-PBE)
Lines closer than 0.1° are merged.

Atomic structure:
```
data_BaFe4
_cell_length_a 7.690
_cell_length_b 7.690
_cell_length_c 2.958
_cell_angle_alpha 90.00
_cell_angle_beta 90.00
_cell_angle_gamma 90.00
_symmetry_space_group_name_H-M 'I 4/m'
_symmetry_Int_Tables_number 87
_symmetry_space_group_name_Hall '-I 4'
loop_
_atom_site_label
_atom_site_type_symbol
_atom_site_fract_x
_atom_site_fract_y
_atom_site_fract_z
Ba1 Ba 0.000 0.000 0.000
Fe1 Fe 0.126 0.369 0.500
```

Largest 12 diffraction maxima, in order of falling intensity, 10° ≤ 2θ ≤ 90°:
2θ/deg	I (rel.)	h k l
40.22	100	2 1 1
36.97	87	1 3 0
52.93	36	2 3 1
23.13	32	2 0 0
32.43	32	1 0 1
75.20	20	1 3 2
73.67	16	5 2 1
32.94	16	2 2 0
61.49	15	1 5 0
68.80	13	3 4 1
69.10	13	4 4 0
58.51	12	1 4 1